Record 1
Computed X-ray powder pattern of Ba5Cu for Cu Kα (λ = 1.5418 Å), from a GGA-PBE-relaxed structure.
Lines closer than 0.1° are merged.

Atomic structure:
a b c (Å): 7.719 7.719 10.310
angles (deg): 102.40 102.40 32.94
Fractional positions:
Ba  0.000  0.000  0.000
Ba  0.083  0.083  0.419
Ba  0.383  0.383  0.622
Ba  0.690  0.690  0.797
Ba  0.786  0.786  0.206
Cu  0.331  0.331  0.968

Largest 8 diffraction maxima, sorted by position, 2θ from 5° to 70°:
2θ 22.5, 3.958 Å, rel. 390; 2θ 23.7, 3.748 Å, rel. 542; 2θ 24.3, 3.666 Å, rel. 485; 2θ 26.8, 3.331 Å, rel. 1000; 2θ 27.6, 3.235 Å, rel. 627; 2θ 30.3, 2.954 Å, rel. 295; 2θ 35.4, 2.537 Å, rel. 224; 2θ 49.7, 1.835 Å, rel. 210

=====

Record 2
Computed X-ray powder pattern of Ba2Cu for Cu Kα (λ = 1.5418 Å), from a GGA-PBE-relaxed structure.
Lines closer than 0.1° are merged.

Atomic structure:
a b c (Å): 7.805 7.805 7.976
angles (deg): 90.05 90.05 31.82
Fractional positions:
Ba  0.000  0.000  0.000
Ba  0.031  0.031  0.500
Ba  0.289  0.289  0.330
Ba  0.741  0.741  0.830
Cu  0.402  0.402  0.720
Cu  0.629  0.629  0.220

Largest 8 diffraction maxima, sorted by position, 2θ from 5° to 70°:
2θ 23.7, 3.753 Å, rel. 332; 2θ 24.3, 3.657 Å, rel. 552; 2θ 25.3, 3.522 Å, rel. 1000; 2θ 27.4, 3.252 Å, rel. 850; 2θ 29.7, 3.011 Å, rel. 740; 2θ 31.2, 2.864 Å, rel. 901; 2θ 38.3, 2.349 Å, rel. 321; 2θ 49.9, 1.828 Å, rel. 407

=====

Record 3
Computed X-ray powder pattern of BaDyCu2F8 for Cu Kα (λ = 1.5418 Å), from a GGA-PBE-relaxed structure.
Lines closer than 0.1° are merged.

Atomic structure:
a b c (Å): 5.948 5.948 7.601
angles (deg): 90.00 90.00 120.00
Fractional positions:
Ba  0.000  0.000  0.000
Dy  0.000  0.000  0.500
Cu  0.333  0.667  0.195
Cu  0.667  0.333  0.805
F  0.155  0.309  0.304
F  0.155  0.845  0.304
F  0.309  0.155  0.696
F  0.333  0.667  0.947
F  0.667  0.333  0.053
F  0.691  0.845  0.304
F  0.845  0.155  0.696
F  0.845  0.691  0.696

Largest 8 diffraction maxima, sorted by position, 2θ from 5° to 70°:
2θ 17.2, 5.151 Å, rel. 1000; 2θ 20.8, 4.264 Å, rel. 566; 2θ 29.2, 3.058 Å, rel. 969; 2θ 30.0, 2.974 Å, rel. 896; 2θ 38.4, 2.342 Å, rel. 294; 2θ 42.4, 2.132 Å, rel. 569; 2θ 51.2, 1.783 Å, rel. 200; 2θ 52.8, 1.733 Å, rel. 431

=====

Record 4
Computed X-ray powder pattern of Ba2NdDyTi2Cu2O11 for Cu Kα (λ = 1.5418 Å), from a GGA-PBE-relaxed structure.
Lines closer than 0.1° are merged.

Atomic structure:
a b c (Å): 3.913 3.913 16.000
angles (deg): 90.00 90.00 90.00
Fractional positions:
Ba  0.000  0.000  0.231
Ba  0.000  0.000  0.769
Nd  0.000  0.000  0.500
Dy  0.000  0.000  0.000
Ti  0.500  0.500  0.373
Ti  0.500  0.500  0.627
Cu  0.500  0.500  0.100
Cu  0.500  0.500  0.900
O  0.000  0.500  0.090
O  0.000  0.500  0.387
O  0.000  0.500  0.613
O  0.000  0.500  0.910
O  0.500  0.000  0.090
O  0.500  0.000  0.387
O  0.500  0.000  0.613
O  0.500  0.000  0.910
O  0.500  0.500  0.257
O  0.500  0.500  0.500
O  0.500  0.500  0.743

Largest 8 diffraction maxima, sorted by position, 2θ from 5° to 70°:
2θ 5.5, 16.000 Å, rel. 135; 2θ 22.7, 3.913 Å, rel. 185; 2θ 32.0, 2.797 Å, rel. 1000; 2θ 32.4, 2.767 Å, rel. 516; 2θ 39.6, 2.276 Å, rel. 268; 2θ 46.4, 1.957 Å, rel. 338; 2θ 56.8, 1.621 Å, rel. 160; 2θ 57.5, 1.603 Å, rel. 374

=====

Record 5
Computed X-ray powder pattern of Ba2DyCu4O8 for Cu Kα (λ = 1.5418 Å), from a GGA-PBE-relaxed structure.
Lines closer than 0.1° are merged.

Atomic structure:
a b c (Å): 13.920 13.920 3.877
angles (deg): 90.00 90.00 163.92
Fractional positions:
Ba  0.136  0.864  0.000
Ba  0.864  0.136  0.000
Dy  0.000  0.000  0.000
Cu  0.287  0.713  0.500
Cu  0.438  0.562  0.500
Cu  0.562  0.438  0.500
Cu  0.713  0.287  0.500
O  0.052  0.948  0.500
O  0.218  0.782  0.500
O  0.354  0.646  0.500
O  0.448  0.552  0.000
O  0.552  0.448  0.000
O  0.646  0.354  0.500
O  0.782  0.218  0.500
O  0.948  0.052  0.500

Largest 8 diffraction maxima, sorted by position, 2θ from 5° to 70°:
2θ 6.4, 13.784 Å, rel. 637; 2θ 30.2, 2.963 Å, rel. 449; 2θ 32.3, 2.769 Å, rel. 984; 2θ 32.8, 2.734 Å, rel. 1000; 2θ 34.8, 2.576 Å, rel. 641; 2θ 46.6, 1.947 Å, rel. 316; 2θ 46.9, 1.939 Å, rel. 311; 2θ 58.1, 1.588 Å, rel. 374

=====

Record 6
Computed X-ray powder pattern of Ba2DyCu3O7 for Cu Kα (λ = 1.5418 Å), from a GGA-PBE-relaxed structure.
Lines closer than 0.1° are merged.

Atomic structure:
a b c (Å): 3.840 3.918 11.835
angles (deg): 90.00 90.00 90.00
Fractional positions:
Ba  0.000  0.000  0.181
Ba  0.000  0.000  0.819
Dy  0.000  0.000  0.500
Cu  0.500  0.500  0.000
Cu  0.500  0.500  0.353
Cu  0.500  0.500  0.647
O  0.000  0.500  0.380
O  0.000  0.500  0.620
O  0.500  0.000  0.000
O  0.500  0.000  0.379
O  0.500  0.000  0.621
O  0.500  0.500  0.159
O  0.500  0.500  0.841

Largest 8 diffraction maxima, sorted by position, 2θ from 5° to 70°:
2θ 32.2, 2.780 Å, rel. 909; 2θ 32.5, 2.752 Å, rel. 1000; 2θ 32.7, 2.743 Å, rel. 938; 2θ 40.0, 2.252 Å, rel. 294; 2θ 46.3, 1.959 Å, rel. 281; 2θ 57.6, 1.601 Å, rel. 358; 2θ 57.8, 1.596 Å, rel. 379; 2θ 58.4, 1.580 Å, rel. 332

=====

Record 7
Computed X-ray powder pattern of Ba4PrDyCu6O14 for Cu Kα (λ = 1.5418 Å), from a GGA-PBE-relaxed structure.
Lines closer than 0.1° are merged.

Atomic structure:
a b c (Å): 3.867 3.937 23.770
angles (deg): 90.00 90.00 90.00
Fractional positions:
Ba  0.000  0.000  0.158
Ba  0.000  0.000  0.338
Ba  0.000  0.000  0.662
Ba  0.000  0.000  0.842
Pr  0.000  0.000  0.500
Dy  0.000  0.000  0.000
Cu  0.500  0.500  0.073
Cu  0.500  0.500  0.248
Cu  0.500  0.500  0.422
Cu  0.500  0.500  0.578
Cu  0.500  0.500  0.752
Cu  0.500  0.500  0.927
O  0.000  0.500  0.060
O  0.000  0.500  0.435
O  0.000  0.500  0.565
O  0.000  0.500  0.940
O  0.500  0.000  0.060
O  0.500  0.000  0.248
O  0.500  0.000  0.434
O  0.500  0.000  0.566
O  0.500  0.000  0.752
O  0.500  0.000  0.940
O  0.500  0.500  0.169
O  0.500  0.500  0.327
O  0.500  0.500  0.673
O  0.500  0.500  0.831

Largest 8 diffraction maxima, sorted by position, 2θ from 5° to 70°:
2θ 32.1, 2.792 Å, rel. 907; 2θ 32.4, 2.767 Å, rel. 1000; 2θ 32.5, 2.759 Å, rel. 926; 2θ 39.8, 2.264 Å, rel. 286; 2θ 46.1, 1.968 Å, rel. 278; 2θ 57.3, 1.609 Å, rel. 358; 2θ 57.5, 1.604 Å, rel. 379; 2θ 58.0, 1.590 Å, rel. 333

=====

Record 8
Computed X-ray powder pattern of BaDyCu2S4 for Cu Kα (λ = 1.5418 Å), from a GGA-PBE-relaxed structure.
Lines closer than 0.1° are merged.

Atomic structure:
a b c (Å): 6.280 6.280 6.280
angles (deg): 116.35 115.97 96.79
Fractional positions:
Ba  0.000  0.000  0.000
Dy  0.500  0.500  0.000
Cu  0.254  0.754  0.500
Cu  0.746  0.246  0.500
S  0.083  0.080  0.567
S  0.487  0.920  0.002
S  0.513  0.516  0.433
S  0.917  0.484  0.998

Largest 8 diffraction maxima, sorted by position, 2θ from 5° to 70°:
2θ 18.9, 4.696 Å, rel. 183; 2θ 26.8, 3.329 Å, rel. 148; 2θ 28.6, 3.118 Å, rel. 1000; 2θ 38.3, 2.348 Å, rel. 355; 2θ 48.5, 1.879 Å, rel. 246; 2θ 48.6, 1.872 Å, rel. 244; 2θ 51.8, 1.766 Å, rel. 153; 2θ 59.3, 1.559 Å, rel. 145

=====

Record 9
Computed X-ray powder pattern of BaErCu2F8 for Cu Kα (λ = 1.5418 Å), from a GGA-PBE-relaxed structure.
Lines closer than 0.1° are merged.

Atomic structure:
a b c (Å): 5.937 5.937 7.560
angles (deg): 90.00 90.00 120.00
Fractional positions:
Ba  0.000  0.000  0.000
Er  0.000  0.000  0.500
Cu  0.333  0.667  0.198
Cu  0.667  0.333  0.802
F  0.154  0.308  0.307
F  0.154  0.846  0.307
F  0.308  0.154  0.693
F  0.333  0.667  0.949
F  0.667  0.333  0.051
F  0.692  0.846  0.307
F  0.846  0.154  0.693
F  0.846  0.692  0.693

Largest 8 diffraction maxima, sorted by position, 2θ from 5° to 70°:
2θ 17.2, 5.141 Å, rel. 1000; 2θ 20.9, 4.251 Å, rel. 560; 2θ 29.3, 3.045 Å, rel. 957; 2θ 30.1, 2.968 Å, rel. 876; 2θ 38.6, 2.334 Å, rel. 282; 2θ 42.5, 2.126 Å, rel. 554; 2θ 51.5, 1.774 Å, rel. 185; 2θ 53.0, 1.728 Å, rel. 427

=====

Record 10
Computed X-ray powder pattern of BaErCu2Ge2 for Cu Kα (λ = 1.5418 Å), from a GGA-PBE-relaxed structure.
Lines closer than 0.1° are merged.

Atomic structure:
a b c (Å): 4.379 4.379 8.082
angles (deg): 90.00 90.00 120.00
Fractional positions:
Ba  0.000  0.000  0.000
Er  0.000  0.000  0.500
Cu  0.333  0.667  0.680
Cu  0.667  0.333  0.320
Ge  0.333  0.667  0.300
Ge  0.667  0.333  0.700

Largest 8 diffraction maxima, sorted by position, 2θ from 5° to 70°:
2θ 10.9, 8.082 Å, rel. 251; 2θ 23.5, 3.792 Å, rel. 159; 2θ 32.4, 2.765 Å, rel. 1000; 2θ 41.2, 2.189 Å, rel. 545; 2θ 51.2, 1.783 Å, rel. 140; 2θ 53.4, 1.716 Å, rel. 240; 2θ 62.5, 1.485 Å, rel. 105; 2θ 69.6, 1.351 Å, rel. 215

=====

Record 11
Computed X-ray powder pattern of BaEr2CuO5 for Cu Kα (λ = 1.5418 Å), from a GGA-PBE-relaxed structure.
Lines closer than 0.1° are merged.

Atomic structure:
a b c (Å): 12.179 5.671 7.177
angles (deg): 90.00 90.00 90.00
Fractional positions:
Ba  0.096  0.250  0.069
Ba  0.404  0.750  0.569
Ba  0.596  0.250  0.431
Ba  0.904  0.750  0.931
Er  0.074  0.750  0.397
Er  0.213  0.250  0.613
Er  0.287  0.750  0.113
Er  0.426  0.250  0.897
Er  0.574  0.750  0.103
Er  0.713  0.250  0.887
Er  0.787  0.750  0.387
Er  0.926  0.250  0.603
Cu  0.161  0.750  0.782
Cu  0.339  0.250  0.282
Cu  0.661  0.750  0.718
Cu  0.839  0.250  0.218
O  0.068  0.504  0.660
O  0.068  0.996  0.660
O  0.101  0.750  0.086
O  0.228  0.003  0.357
O  0.228  0.497  0.357
O  0.272  0.503  0.857
O  0.272  0.997  0.857
O  0.399  0.250  0.586
O  0.432  0.004  0.160
O  0.432  0.496  0.160
O  0.568  0.504  0.840
O  0.568  0.996  0.840
O  0.601  0.750  0.414
O  0.728  0.003  0.143
O  0.728  0.497  0.143
O  0.772  0.503  0.643
O  0.772  0.997  0.643
O  0.899  0.250  0.914
O  0.932  0.004  0.340
O  0.932  0.496  0.340

Largest 8 diffraction maxima, sorted by position, 2θ from 5° to 70°:
2θ 29.8, 2.999 Å, rel. 1000; 2θ 30.4, 2.943 Å, rel. 618; 2θ 31.6, 2.835 Å, rel. 465; 2θ 31.9, 2.803 Å, rel. 214; 2θ 45.5, 1.993 Å, rel. 288; 2θ 46.5, 1.951 Å, rel. 154; 2θ 55.1, 1.667 Å, rel. 179; 2θ 58.9, 1.567 Å, rel. 159

=====

Record 12
Computed X-ray powder pattern of Ba3ErCu2O6 for Cu Kα (λ = 1.5418 Å), from a GGA-PBE-relaxed structure.
Lines closer than 0.1° are merged.

Atomic structure:
a b c (Å): 6.160 6.160 6.896
angles (deg): 90.00 90.00 120.00
Fractional positions:
Ba  0.000  0.000  0.000
Ba  0.333  0.667  0.655
Ba  0.667  0.333  0.345
Er  0.000  0.000  0.500
Cu  0.333  0.667  0.215
Cu  0.667  0.333  0.785
O  0.164  0.328  0.302
O  0.164  0.836  0.302
O  0.328  0.164  0.698
O  0.672  0.836  0.302
O  0.836  0.164  0.698
O  0.836  0.672  0.698

Largest 8 diffraction maxima, sorted by position, 2θ from 5° to 70°:
2θ 12.8, 6.896 Å, rel. 179; 2θ 29.0, 3.080 Å, rel. 1000; 2θ 30.9, 2.896 Å, rel. 825; 2θ 42.9, 2.110 Å, rel. 516; 2θ 51.4, 1.778 Å, rel. 203; 2θ 52.6, 1.741 Å, rel. 403; 2θ 60.1, 1.540 Å, rel. 171; 2θ 69.1, 1.360 Å, rel. 164